Calculated X-ray powder pattern of TbNi8Rh3 for Cu Kα X-rays, from a PBE-relaxed structure.
Lines closer than 0.1° are merged.

Crystal structure
Lattice parameters (Å, degrees): 4.7846 4.7846 7.8330 90.00 90.00 120.00
Atoms (fractional coordinates):
1 Tb 0.0000 0.0000 0.0000
2 Ni 0.1654 0.3307 0.6773
3 Ni 0.1654 0.8346 0.6773
4 Ni 0.3333 0.6667 0.4328
5 Ni 0.3333 0.6667 0.9316
6 Ni 0.5026 0.0052 0.1954
7 Ni 0.5026 0.4974 0.1954
8 Ni 0.6693 0.8346 0.6773
9 Ni 0.9948 0.4974 0.1954
10 Rh 0.0000 0.0000 0.3845
11 Rh 0.6667 0.3333 0.4966
12 Rh 0.6667 0.3333 0.8534

Largest 8 diffraction maxima, in order of falling intensity, 15° ≤ 2θ ≤ 90°:
2θ (°), Rel. int.
44.37, 100
40.85, 92
45.27, 69
37.60, 53
70.06, 34
76.19, 26
80.26, 24
72.58, 22

---

Calculated X-ray powder pattern of PuPd6Au5 for Cu Kα X-rays, from a PBE-relaxed structure.
Lines closer than 0.1° are merged.

Crystal structure
Lattice parameters (Å, degrees): 4.8528 6.0698 7.1074 90.00 96.34 90.00
Atoms (fractional coordinates):
1 Pu 0.0000 0.0000 0.0000
2 Pd 0.1605 0.2514 0.3344
3 Pd 0.1605 0.7486 0.3344
4 Pd 0.5000 0.2541 0.0000
5 Pd 0.5000 0.7459 0.0000
6 Pd 0.8395 0.2514 0.6656
7 Pd 0.8395 0.7486 0.6656
8 Au 0.0000 0.5000 0.0000
9 Au 0.3386 0.5000 0.6698
10 Au 0.3423 0.0000 0.6657
11 Au 0.6577 0.0000 0.3343
12 Au 0.6614 0.5000 0.3302

Largest 8 diffraction maxima, in order of falling intensity, 15° ≤ 2θ ≤ 90°:
2θ (°), Rel. int.
37.97, 100
42.27, 74
38.07, 49
38.22, 49
74.32, 28
47.97, 26
65.73, 20
65.93, 20

---

Calculated X-ray powder pattern of Zr4SiH for Cu Kα X-rays, from a PBE-relaxed structure.
Lines closer than 0.1° are merged.

Crystal structure
Lattice parameters (Å, degrees): 6.8398 6.8398 6.8398 103.26 103.26 122.77
Atoms (fractional coordinates):
1 Zr 0.2259 0.2745 0.5486
2 Zr 0.2259 0.6772 0.9514
3 Zr 0.2745 0.2259 0.0486
4 Zr 0.3228 0.7741 0.5486
5 Zr 0.6772 0.2259 0.4514
6 Zr 0.7255 0.7741 0.9514
7 Zr 0.7741 0.3228 0.0486
8 Zr 0.7741 0.7255 0.4514
9 Si 0.1250 0.8750 0.2500
10 Si 0.8750 0.1250 0.7500
11 H 0.3750 0.6250 0.7500
12 H 0.6250 0.3750 0.2500

Largest 8 diffraction maxima, in order of falling intensity, 15° ≤ 2θ ≤ 90°:
2θ (°), Rel. int.
34.57, 100
29.76, 40
55.95, 28
40.71, 18
42.59, 15
57.56, 10
60.38, 9
27.14, 9

---

Calculated X-ray powder pattern of Cd5InHg10 for Cu Kα X-rays, from a PBE-relaxed structure.
Lines closer than 0.1° are merged.

Crystal structure
Lattice parameters (Å, degrees): 8.7732 8.7732 8.7732 96.94 96.94 139.33
Atoms (fractional coordinates):
1 Cd 0.0000 0.0000 0.0000
2 Cd 0.0797 0.5797 0.1594
3 Cd 0.4203 0.9203 0.8406
4 Cd 0.5797 0.4203 0.5000
5 Cd 0.9203 0.0797 0.5000
6 In 0.5000 0.5000 0.0000
7 Hg 0.0000 0.5000 0.5000
8 Hg 0.0179 0.3233 0.8441
9 Hg 0.1738 0.0179 0.6946
10 Hg 0.3233 0.4792 0.3054
11 Hg 0.4792 0.1738 0.1559
12 Hg 0.5000 0.0000 0.5000
13 Hg 0.5208 0.6767 0.6946
14 Hg 0.6767 0.9821 0.1559
15 Hg 0.8262 0.5208 0.8441
16 Hg 0.9821 0.8262 0.3054

Largest 8 diffraction maxima, in order of falling intensity, 15° ≤ 2θ ≤ 90°:
2θ (°), Rel. int.
35.04, 100
34.48, 60
36.69, 53
31.36, 49
33.18, 49
55.74, 26
29.30, 24
56.22, 19

---

Calculated X-ray powder pattern of Ba3SN for Cu Kα X-rays, from a PBE-relaxed structure.
Lines closer than 0.1° are merged.

Crystal structure
Lattice parameters (Å, degrees): 9.7608 9.7608 7.6315 96.34 96.34 81.67
Atoms (fractional coordinates):
1 Ba 0.0541 0.2091 0.1237
2 Ba 0.1020 0.6211 0.4069
3 Ba 0.2091 0.0541 0.6237
4 Ba 0.2905 0.4097 0.8285
5 Ba 0.3789 0.8980 0.0931
6 Ba 0.4097 0.2905 0.3285
7 Ba 0.5903 0.7095 0.6715
8 Ba 0.6211 0.1020 0.9069
9 Ba 0.7095 0.5903 0.1715
10 Ba 0.7909 0.9459 0.3763
11 Ba 0.8980 0.3789 0.5931
12 Ba 0.9459 0.7909 0.8763
13 S 0.0880 0.9120 0.2500
14 S 0.2681 0.7319 0.7500
15 S 0.7319 0.2681 0.2500
16 S 0.9120 0.0880 0.7500
17 N 0.1641 0.3260 0.5199
18 N 0.3260 0.1641 0.0199
19 N 0.6740 0.8359 0.9801
20 N 0.8359 0.6740 0.4801

Largest 8 diffraction maxima, in order of falling intensity, 15° ≤ 2θ ≤ 90°:
2θ (°), Rel. int.
29.21, 100
25.21, 86
28.15, 50
24.37, 47
24.92, 45
40.66, 30
41.36, 30
49.91, 19

---

Calculated X-ray powder pattern of KLiHg2 for Cu Kα X-rays, from a PBE-relaxed structure.
Lines closer than 0.1° are merged.

Crystal structure
Lattice parameters (Å, degrees): 4.8979 4.8979 6.6299 111.84 111.84 60.04
Atoms (fractional coordinates):
1 K 0.0000 0.0000 0.0000
2 Li 0.5000 0.5000 0.5000
3 Hg 0.2000 0.2000 0.5991
4 Hg 0.8000 0.8000 0.4009

Largest 8 diffraction maxima, in order of falling intensity, 15° ≤ 2θ ≤ 90°:
2θ (°), Rel. int.
32.67, 100
23.19, 92
36.69, 77
39.76, 53
21.52, 38
41.11, 23
49.97, 20
28.96, 20

---

Calculated X-ray powder pattern of SmEr3Tl3Te8 for Cu Kα X-rays, from a PBE-relaxed structure.
Lines closer than 0.1° are merged.

Crystal structure
Lattice parameters (Å, degrees): 8.7807 8.7807 9.6157 117.23 117.23 59.92
Atoms (fractional coordinates):
1 Sm 0.0000 0.0000 0.0000
2 Er 0.0000 0.5000 0.0000
3 Er 0.5000 0.0000 0.0000
4 Er 0.5000 0.5000 0.0000
5 Tl 0.0000 0.0000 0.5000
6 Tl 0.0000 0.5000 0.5000
7 Tl 0.5000 0.0000 0.5000
8 Te 0.2434 0.2434 0.2167
9 Te 0.2434 0.7299 0.2167
10 Te 0.2622 0.2622 0.7866
11 Te 0.2701 0.7566 0.7833
12 Te 0.7299 0.2434 0.2167
13 Te 0.7378 0.7378 0.2134
14 Te 0.7566 0.2701 0.7833
15 Te 0.7566 0.7566 0.7833

Largest 8 diffraction maxima, in order of falling intensity, 15° ≤ 2θ ≤ 90°:
2θ (°), Rel. int.
27.62, 100
37.73, 39
41.14, 36
50.27, 19
66.91, 16
62.11, 15
57.04, 12
72.68, 8

---

Calculated X-ray powder pattern of Ca4PuNb3N8 for Cu Kα X-rays, from a PBE-relaxed structure.
Lines closer than 0.1° are merged.

Crystal structure
Lattice parameters (Å, degrees): 6.7397 6.7397 6.7397 58.05 58.05 58.05
Atoms (fractional coordinates):
1 Ca 0.0000 0.0000 0.0000
2 Ca 0.0000 0.5000 0.5000
3 Ca 0.5000 0.0000 0.5000
4 Ca 0.5000 0.5000 0.0000
5 Pu 0.5000 0.5000 0.5000
6 Nb 0.0000 0.0000 0.5000
7 Nb 0.0000 0.5000 0.0000
8 Nb 0.5000 0.0000 0.0000
9 N 0.2276 0.7432 0.7432
10 N 0.2390 0.2390 0.2390
11 N 0.2568 0.2568 0.7724
12 N 0.2568 0.7724 0.2568
13 N 0.7432 0.2276 0.7432
14 N 0.7432 0.7432 0.2276
15 N 0.7610 0.7610 0.7610
16 N 0.7724 0.2568 0.2568

Largest 8 diffraction maxima, in order of falling intensity, 15° ≤ 2θ ≤ 90°:
2θ (°), Rel. int.
38.37, 100
33.40, 80
15.88, 66
32.06, 61
54.51, 33
56.26, 31
66.24, 28
16.52, 21